Starting from a PBE-relaxed structure, the powder X-ray diffraction pattern of Te2RhAu was simulated for Cu Kα (weighted mean of Kα1 and Kα2).

Cell and atoms:
Cell lengths 4.921, 5.179, 7.581 Å; angles 90.00, 90.00, 90.00 degrees
Space group Amm2 (No. 38)
Asymmetric unit:
1 Te 0.000 0.000 0.000 [2 per cell]
2 Te 0.500 0.000 0.469 [2 per cell]
3 Rh 0.000 0.000 0.630 [2 per cell]
4 Au 0.500 0.000 0.832 [2 per cell]

The 10 most intense peaks (15° ≤ 2θ ≤ 90°), in order of rising 2θ:
2θ/deg, I/Imax
20.8, 612
29.8, 572
34.6, 506
36.5, 438
42.4, 198
43.9, 1000
46.3, 341
51.2, 333
68.5, 251
70.9, 228

Starting from a PBE-relaxed structure, the powder X-ray diffraction pattern of Th8RhAu2 was simulated for Cu Kα (weighted mean of Kα1 and Kα2).

Cell and atoms:
Cell lengths 14.620, 7.079, 6.349 Å; angles 90.00, 96.29, 90.00 degrees
Space group C2/m (No. 12)
Asymmetric unit:
1 Th 0.090 0.244 0.338 [8 per cell]
2 Th 0.092 0.500 0.867 [4 per cell]
3 Th 0.182 0.000 0.866 [4 per cell]
4 Rh 0.000 0.000 0.000 [2 per cell]
5 Au 0.240 0.500 0.591 [4 per cell]

The 10 most intense peaks (15° ≤ 2θ ≤ 90°), in order of rising 2θ:
2θ/deg, I/Imax
28.0, 207
28.9, 224
29.6, 516
32.1, 1000
34.6, 230
34.9, 302
37.2, 359
50.5, 150
51.6, 177
60.5, 154

Starting from a PBE-relaxed structure, the powder X-ray diffraction pattern of Th4Rh2Au was simulated for Cu Kα (weighted mean of Kα1 and Kα2).

Cell and atoms:
Cell lengths 7.266, 7.266, 3.648 Å; angles 90.00, 90.00, 90.00 degrees
Space group P-42m (No. 111)
Asymmetric unit:
1 Th 0.222 0.222 0.222 [4 per cell]
2 Rh 0.000 0.500 0.500 [2 per cell]
3 Au 0.500 0.500 0.000 [1 per cell]

The 10 most intense peaks (15° ≤ 2θ ≤ 90°), in order of rising 2θ:
2θ/deg, I/Imax
24.5, 165
27.4, 208
30.0, 1000
34.9, 557
37.1, 316
46.7, 483
50.2, 162
56.4, 278
69.7, 142
78.9, 151

Starting from a PBE-relaxed structure, the powder X-ray diffraction pattern of YThRhAu was simulated for Cu Kα (weighted mean of Kα1 and Kα2).

Cell and atoms:
Cell lengths 4.153, 3.930, 11.813 Å; angles 90.00, 90.00, 90.00 degrees
Space group Amm2 (No. 38)
Asymmetric unit:
1 Y 0.000 0.000 0.000 [2 per cell]
2 Th 0.500 0.000 0.719 [2 per cell]
3 Rh 0.000 0.000 0.250 [2 per cell]
4 Au 0.500 0.000 0.435 [2 per cell]

The 10 most intense peaks (15° ≤ 2θ ≤ 90°), in order of rising 2θ:
2θ/deg, I/Imax
21.4, 158
30.3, 348
32.2, 1000
37.4, 207
39.0, 674
43.6, 203
46.2, 172
54.0, 147
65.4, 147
76.7, 187